1.
Simulated powder X-ray diffraction pattern of InP3 for Cu Kα, 1.54184 Å, from a structure optimized by DFT (PBE).

Peak list (8 most intense, 10 to 90 degrees two-theta, low angle first)
| 2θ/deg | Rel. int. | index |
| --- | --- | --- |
| 22.2 | 40 | 0 1 2 |
| 23.7 | 48 | 1 1 0 |
| 26.3 | 17 | 0 0 3 |
| 32.7 | 100 | 2 0 2 |
| 40.7 | 26 | 1 2 2 |
| 45.3 | 26 | 0 2 4 |
| 48.4 | 32 | 2 2 0 |
| 59.6 | 14 | 0 4 2 |

```
data_InP3
_chemical_formula_sum 'In6 P18'
_symmetry_space_group_name_H-M 'R -3 m'
_symmetry_Int_Tables_number 166
_symmetry_space_group_name_Hall '-R 3 2"'
_cell_length_a 7.5223
_cell_length_b 7.5223
_cell_length_c 10.1612
_cell_angle_alpha 90.00
_cell_angle_beta 90.00
_cell_angle_gamma 120.00
loop_
_atom_site_label
_atom_site_fract_x
_atom_site_fract_y
_atom_site_fract_z
In1 0.0000 0.0000 0.2256
P1 0.0370 0.5185 0.2204
```

2.
Simulated powder X-ray diffraction pattern of TiP4H8N2O13 for Cu Kα, 1.54184 Å, from a structure optimized by DFT (PBE).

Peak list (8 most intense, 10 to 90 degrees two-theta, low angle first)
| 2θ/deg | Rel. int. | index |
| --- | --- | --- |
| 11.8 | 100 | 0 0 2 |
| 17.0 | 10 | 0 1 -2 |
| 19.4 | 9 | 1 1 0 |
| 22.1 | 7 | 1 -1 0 |
| 25.5 | 25 | -1 1 2 |
| 26.4 | 24 | 0 2 -2 |
| 27.4 | 20 | 1 2 2 |
| 28.1 | 16 | 1 0 4 |

```
data_TiP4H8N2O13
_chemical_formula_sum 'Ti2 P8 H16 N4 O26'
_symmetry_space_group_name_H-M 'P -1'
_symmetry_Int_Tables_number 2
_cell_length_a 5.1589
_cell_length_b 8.0469
_cell_length_c 15.1630
_cell_angle_alpha 83.77
_cell_angle_beta 83.07
_cell_angle_gamma 81.20
loop_
_symmetry_equiv_pos_as_xyz
'x,y,z'
'-x,-y,-z'
loop_
_atom_site_label
_atom_site_fract_x
_atom_site_fract_y
_atom_site_fract_z
Ti1 0.0390 0.4442 0.2393
P1 0.1776 0.8293 0.2113
P2 0.1884 0.9092 0.6909
P3 0.3850 0.7217 0.8572
P4 0.4628 0.6009 0.3425
H1 0.0308 0.1841 0.5306
H2 0.0785 0.2388 0.9509
H3 0.0967 0.3720 0.4924
H4 0.1853 0.2175 0.4258
H5 0.2541 0.0426 0.9471
H6 0.2640 0.1540 0.0332
H7 0.3514 0.2232 0.5150
H8 0.4143 0.2112 0.9331
N1 0.1680 0.2465 0.4910
N2 0.2513 0.1642 0.9656
O1 0.0148 0.2159 0.2990
O2 0.0241 0.0929 0.7087
O3 0.0575 0.6782 0.1869
O4 0.2184 0.5867 0.8377
O5 0.2408 0.4658 0.6678
O6 0.2434 0.9543 0.1363
O7 0.2919 0.8042 0.9414
O8 0.3017 0.4680 0.3166
O9 0.3211 0.3548 0.1497
O10 0.3473 0.9284 0.6039
O11 0.3604 0.8682 0.7733
O12 0.3620 0.6695 0.4299
O13 0.4326 0.7529 0.2604
```

3.
Simulated powder X-ray diffraction pattern of TaC for Cu Kα, 1.54184 Å, from a structure optimized by DFT (PBE).

Peak list (7 most intense, 10 to 90 degrees two-theta, low angle first)
| 2θ/deg | Rel. int. | index |
| --- | --- | --- |
| 32.0 | 100 | 1 1 1 |
| 37.2 | 45 | 2 0 0 |
| 53.6 | 39 | 2 2 0 |
| 63.8 | 42 | 3 1 1 |
| 67.0 | 11 | 2 2 2 |
| 79.2 | 6 | 4 0 0 |
| 88.0 | 18 | 3 3 1 |

```
data_TaC
_chemical_formula_sum 'Ta4 C4'
_symmetry_space_group_name_H-M 'F -4 3 m'
_symmetry_Int_Tables_number 216
_symmetry_space_group_name_Hall 'F -4 2 3'
_cell_length_a 4.8386
_cell_length_b 4.8386
_cell_length_c 4.8386
_cell_angle_alpha 90.00
_cell_angle_beta 90.00
_cell_angle_gamma 90.00
loop_
_atom_site_label
_atom_site_fract_x
_atom_site_fract_y
_atom_site_fract_z
Ta1 0.0000 0.0000 0.0000
C1 0.2500 0.2500 0.7500
```